For Rb6Br3O, a crystal structure in Alexandria, relaxed with PBE gives the computed X-ray diffraction stick pattern in this record (Cu Kα X-rays).
Intensities are scaled so that the largest is 100.

Peak list (10 most intense, 2θ from 5° to 70°, in order of falling intensity)
2theta, I/Imax
31.25, 100
28.08, 43
13.28, 28
23.21, 26
26.43, 23
33.12, 20
29.91, 15
48.27, 14
46.64, 12
42.86, 12

Unit cell a=9.483 b=9.483 c=9.483 alpha=90.68 beta=90.68 gamma=90.68
Element x y z (fractional)
1 Rb 0.054 0.929 0.722
2 Rb 0.071 0.278 0.946
3 Rb 0.222 0.429 0.554
4 Rb 0.278 0.946 0.071
5 Rb 0.429 0.554 0.222
6 Rb 0.446 0.778 0.571
7 Rb 0.554 0.222 0.429
8 Rb 0.571 0.446 0.778
9 Rb 0.722 0.054 0.929
10 Rb 0.778 0.571 0.446
11 Rb 0.929 0.722 0.054
12 Rb 0.946 0.071 0.278
13 Br 0.124 0.750 0.376
14 Br 0.250 0.624 0.876
15 Br 0.376 0.124 0.750
16 Br 0.624 0.876 0.250
17 Br 0.750 0.376 0.124
18 Br 0.876 0.250 0.624
19 O 0.000 0.000 0.000
20 O 0.500 0.500 0.500